No. 1
Theoretical powder XRD pattern of Pm2ErPu3Se6 for Cu Kα X-rays, from a DFT-relaxed cell (PBE, Alexandria).
Neutral-atom scattering factors, no anomalous dispersion.

Crystal structure
Lattice parameters (Å, degrees): 5.0949 7.2004 15.2614 90.00 90.00 90.00
Space group Immm (No. 71)
Inequivalent atoms, fractional coordinates:
Pm  0.0000  0.0000  0.1662 x4
Er  0.0000  0.0000  0.5000 x2
Pu  0.0000  0.5000  0.1659 x4
Pu  0.0000  0.5000  0.5000 x2
Se  0.0000  0.2473  0.3352 x8
Se  0.0000  0.2548  0.0000 x4

The 12 most intense peaks (10 to 90 degrees two-theta), sorted by position:
2θ (°)	Rel. int.	(hkl)
21.4	5	0 1 3
24.7	21	1 0 3
35.3	100	2 0 0
41.6	3	1 3 0
43.5	7	2 2 0
50.7	18	2 0 6
57.2	9	1 4 3
63.3	37	3 2 3
74.5	10	4 0 0
74.6	2	0 0 12
80.0	3	0 6 0
85.2	17	4 0 6

=====

No. 2
Theoretical powder XRD pattern of La4Pr4Er for Cu Kα X-rays, from a DFT-relaxed cell (PBE, Alexandria).
Neutral-atom scattering factors, no anomalous dispersion.

Crystal structure
Lattice parameters (Å, degrees): 11.0764 11.0764 5.2654 90.00 90.00 90.00
Space group I4/mmm (No. 139)
Inequivalent atoms, fractional coordinates:
La  0.1655  0.1655  0.0000 x8
Pr  0.0000  0.3321  0.5000 x8
Er  0.0000  0.0000  0.5000 x2

The 12 most intense peaks (10 to 90 degrees two-theta), sorted by position:
2θ (°)	Rel. int.	(hkl)
29.5	100	3 0 1
34.1	17	0 0 2
34.3	34	3 3 0
49.1	24	3 3 2
49.4	12	6 0 0
58.2	15	3 0 3
58.6	29	6 3 1
61.3	13	6 0 2
79.7	12	6 3 3
80.1	6	9 0 1
82.0	6	3 3 4
82.5	5	6 6 2

=====

No. 3
Theoretical powder XRD pattern of Ge5Se6 for Cu Kα X-rays, from a DFT-relaxed cell (PBE, Alexandria).
Neutral-atom scattering factors, no anomalous dispersion.

Crystal structure
Lattice parameters (Å, degrees): 6.7539 11.7946 6.8128 90.00 108.82 90.00
Space group C2/m (No. 12)
Inequivalent atoms, fractional coordinates:
Ge  0.0000  0.0000  0.0000 x2
Ge  0.0000  0.1563  0.5000 x4
Ge  0.0000  0.3222  0.0000 x4
Se  0.2412  0.0000  0.7440 x4
Se  0.2436  0.1685  0.2446 x8

The 12 most intense peaks (10 to 90 degrees two-theta), sorted by position:
2θ (°)	Rel. int.	(hkl)
15.8	9	1 1 0
32.1	100	1 3 1
32.5	50	2 0 -2
46.0	18	2 0 2
46.2	53	1 3 -3
46.5	35	3 3 -1
57.1	10	0 0 4
57.6	18	2 6 -2
57.7	9	4 0 0
67.2	11	2 6 2
76.9	15	3 3 -5
85.8	11	5 3 1

=====

No. 4
Theoretical powder XRD pattern of DySn3Pd3 for Cu Kα X-rays, from a DFT-relaxed cell (PBE, Alexandria).
Neutral-atom scattering factors, no anomalous dispersion.

Crystal structure
Lattice parameters (Å, degrees): 7.2415 7.2415 7.2415 90.00 90.00 90.00
Space group Pm-3n (No. 223)
Inequivalent atoms, fractional coordinates:
Dy  0.0000  0.0000  0.0000 x2
Sn  0.0000  0.2500  0.5000 x6
Pd  0.0000  0.5000  0.2500 x6

The 12 most intense peaks (10 to 90 degrees two-theta), sorted by position:
2θ (°)	Rel. int.	(hkl)
24.6	42	2 0 0
30.2	100	2 1 1
43.3	23	2 2 2
46.9	60	3 2 1
50.4	29	4 0 0
56.9	17	4 2 0
59.9	14	3 3 2
71.3	17	5 2 1
74.1	19	4 4 0
79.4	8	6 0 0
82.0	18	6 1 1
89.8	9	6 2 2

=====

No. 5
Theoretical powder XRD pattern of Pr2AlNi9 for Cu Kα X-rays, from a DFT-relaxed cell (PBE, Alexandria).
Neutral-atom scattering factors, no anomalous dispersion.

Crystal structure
Lattice parameters (Å, degrees): 4.9143 4.9143 24.8746 90.00 90.00 120.00
Space group R-3m (No. 166, hexagonal axes)
Inequivalent atoms, fractional coordinates:
Pr  0.0000  0.0000  0.1345 x6
Al  0.0000  0.0000  0.0000 x3
Ni  0.0000  0.0000  0.3328 x6
Ni  0.0000  0.0000  0.5000 x3
Ni  0.0006  0.5003  0.0786 x18

The 12 most intense peaks (10 to 90 degrees two-theta), sorted by position:
2θ (°)	Rel. int.	(hkl)
10.7	24	0 0 3
25.4	38	1 0 4
32.8	43	1 0 7
35.8	55	0 1 8
36.6	55	1 1 0
42.6	46	0 2 1
42.8	100	1 1 6
45.0	34	0 2 4
45.4	47	0 1 11
46.4	57	2 0 5
72.0	22	1 2 11
77.7	31	2 2 0

=====

No. 6
Theoretical powder XRD pattern of Ca6Pt2AuN for Cu Kα X-rays, from a DFT-relaxed cell (PBE, Alexandria).
Neutral-atom scattering factors, no anomalous dispersion.

Crystal structure
Lattice parameters (Å, degrees): 6.8085 7.5324 11.5341 90.00 122.13 90.00
Space group P2_1/c (No. 14)
Inequivalent atoms, fractional coordinates:
Ca  0.0780  0.0521  0.2261 x4
Ca  0.2142  0.7087  0.0726 x4
Ca  0.3565  0.1542  0.0591 x4
Pt  0.3029  0.1073  0.7612 x4
Au  0.5000  0.0000  0.5000 x2
N  0.0000  0.0000  0.0000 x2

The 12 most intense peaks (10 to 90 degrees two-theta), sorted by position:
2θ (°)	Rel. int.	(hkl)
15.4	57	1 0 0
19.4	45	1 1 0
20.2	43	1 1 -2
24.7	100	1 1 1
25.3	39	0 2 1
26.0	96	1 1 -3
26.2	44	2 0 -2
30.8	65	2 1 -3
36.5	38	0 2 3
36.8	41	0 0 4
38.2	42	1 3 -1
44.6	34	3 1 -1

=====

No. 7
Theoretical powder XRD pattern of Ho2Cu2Pt for Cu Kα X-rays, from a DFT-relaxed cell (PBE, Alexandria).
Neutral-atom scattering factors, no anomalous dispersion.

Crystal structure
Lattice parameters (Å, degrees): 10.1262 3.9793 10.7830 90.00 112.82 90.00
Space group C2/m (No. 12)
Inequivalent atoms, fractional coordinates:
Ho  0.0098  0.0000  0.3384 x4
Ho  0.1909  0.0000  0.1173 x4
Cu  0.0287  0.5000  0.8950 x4
Cu  0.1377  0.5000  0.5478 x4
Pt  0.2106  0.5000  0.3197 x4

The 12 most intense peaks (10 to 90 degrees two-theta), sorted by position:
2θ (°)	Rel. int.	(hkl)
28.0	34	1 1 -2
32.5	97	1 1 2
33.6	100	1 1 -3
35.6	92	3 1 -2
36.1	31	0 0 4
38.4	53	3 1 -3
40.5	100	3 1 1
40.7	36	1 1 -4
41.6	31	4 0 -4
45.6	91	0 2 0
52.8	30	3 1 3
69.1	31	7 1 -3

=====

No. 8
Theoretical powder XRD pattern of MgHgPb for Cu Kα X-rays, from a DFT-relaxed cell (PBE, Alexandria).
Neutral-atom scattering factors, no anomalous dispersion.

Crystal structure
Lattice parameters (Å, degrees): 3.5416 3.5416 12.2068 90.00 90.00 90.00
Space group I4mm (No. 107)
Inequivalent atoms, fractional coordinates:
Mg  0.0000  0.0000  0.0000 x2
Hg  0.0000  0.0000  0.3676 x2
Pb  0.0000  0.0000  0.6793 x2

The 12 most intense peaks (10 to 90 degrees two-theta), sorted by position:
2θ (°)	Rel. int.	(hkl)
14.5	16	0 0 2
26.2	42	1 0 1
29.3	14	0 0 4
33.5	100	1 0 3
35.9	44	1 1 0
46.9	16	1 1 4
51.6	16	2 0 0
58.4	18	1 1 6
59.0	12	1 0 7
63.0	33	2 1 3
70.5	10	2 0 6
82.2	10	2 1 7

=====

No. 9
Theoretical powder XRD pattern of K8TeP8H10O32 for Cu Kα X-rays, from a DFT-relaxed cell (PBE, Alexandria).
Neutral-atom scattering factors, no anomalous dispersion.

Crystal structure
Lattice parameters (Å, degrees): 7.6267 10.7985 11.7064 66.81 79.14 70.57
Space group P-1 (No. 2)
Inequivalent atoms, fractional coordinates:
K  0.0874  0.1116  0.0310 x2
K  0.1633  0.0887  0.3597 x2
K  0.2592  0.6073  0.5614 x2
K  0.3614  0.5889  0.1537 x2
Te  0.0000  0.5000  0.0000 x1
P  0.2884  0.3083  0.4660 x2
P  0.3680  0.8170  0.6698 x2
P  0.4248  0.9197  0.8576 x2
P  0.4293  0.2178  0.7155 x2
H  0.0320  0.1714  0.7118 x2
H  0.1512  0.3871  0.8395 x2
H  0.1762  0.8335  0.2672 x2
H  0.1813  0.6554  0.8388 x2
H  0.3010  0.3236  0.0688 x2
O  0.0273  0.3970  0.8882 x2
O  0.0439  0.6654  0.8628 x2
O  0.0659  0.8506  0.2234 x2
O  0.1036  0.3140  0.4360 x2
O  0.2052  0.8800  0.5904 x2
O  0.2655  0.4293  0.0262 x2
O  0.2893  0.8671  0.9609 x2
O  0.2911  0.2325  0.6177 x2
O  0.3562  0.4356  0.4246 x2
O  0.3591  0.3433  0.7554 x2
O  0.3685  0.1484  0.1312 x2
O  0.3707  0.8224  0.3326 x2
O  0.3714  0.9329  0.7241 x2
O  0.3786  0.0872  0.8325 x2
O  0.3857  0.6759  0.7724 x2
O  0.4409  0.1849  0.4204 x2

The 12 most intense peaks (10 to 90 degrees two-theta), sorted by position:
2θ (°)	Rel. int.	(hkl)
13.2	53	1 1 0
14.4	85	1 0 1
18.2	39	-1 1 1
20.0	43	1 0 2
21.3	60	1 0 -2
21.7	48	0 1 -2
23.0	65	0 2 -1
23.6	43	2 1 1
24.8	43	1 2 3
26.7	79	2 0 -1
29.7	42	0 1 -3
30.2	100	0 3 3

=====

No. 10
Theoretical powder XRD pattern of Li2DyReN4 for Cu Kα X-rays, from a DFT-relaxed cell (PBE, Alexandria).
Neutral-atom scattering factors, no anomalous dispersion.

Crystal structure
Lattice parameters (Å, degrees): 6.7656 7.7324 8.4762 90.00 90.00 90.00
Space group Ima2 (No. 46)
Inequivalent atoms, fractional coordinates:
Li  0.0000  0.0000  0.0000 x4
Li  0.2500  0.1600  0.2700 x4
Dy  0.0000  0.0000  0.6138 x4
Re  0.2500  0.7160  0.7838 x4
N  0.0283  0.7004  0.6638 x8
N  0.2500  0.5362  0.9336 x4
N  0.2500  0.5490  0.3304 x4

The 12 most intense peaks (10 to 90 degrees two-theta), sorted by position:
2θ (°)	Rel. int.	(hkl)
15.5	73	0 1 1
17.4	100	1 1 0
21.0	29	0 0 2
27.4	61	1 1 2
30.7	39	2 1 1
31.3	50	0 2 2
33.8	18	0 1 3
33.9	63	2 0 2
35.3	42	2 2 0
36.4	31	0 3 1
50.8	16	2 0 4
55.4	25	2 3 3

=====

No. 11
Theoretical powder XRD pattern of NdBiSb2 for Cu Kα X-rays, from a DFT-relaxed cell (PBE, Alexandria).
Neutral-atom scattering factors, no anomalous dispersion.

Crystal structure
Lattice parameters (Å, degrees): 4.5536 4.5536 11.4332 90.00 90.00 90.00
Space group P4/nmm (No. 129, origin choice 2)
Inequivalent atoms, fractional coordinates:
Nd  0.2500  0.2500  0.2222 x2
Bi  0.2500  0.7500  0.5000 x2
Sb  0.2500  0.2500  0.7381 x2
Sb  0.2500  0.7500  0.0000 x2

The 12 most intense peaks (10 to 90 degrees two-theta), sorted by position:
2θ (°)	Rel. int.	(hkl)
28.8	4	1 1 1
31.3	24	0 0 4
31.9	100	1 1 2
39.6	29	2 0 0
51.3	24	2 0 4
56.1	15	1 1 6
57.2	10	2 2 0
66.7	11	2 2 4
67.0	24	3 1 2
79.1	5	2 0 8
84.3	10	3 1 6
85.3	3	4 0 0

=====

No. 12
Theoretical powder XRD pattern of Ag5TeS4Cl2 for Cu Kα X-rays, from a DFT-relaxed cell (PBE, Alexandria).
Neutral-atom scattering factors, no anomalous dispersion.

Crystal structure
Lattice parameters (Å, degrees): 7.9308 11.2161 6.4506 90.00 90.00 90.00
Space group Amm2 (No. 38)
Inequivalent atoms, fractional coordinates:
Ag  0.0000  0.0000  0.0000 x2
Ag  0.2669  0.1935  0.4813 x8
Te  0.5000  0.0000  0.1375 x2
S  0.2065  0.0000  0.2927 x4
S  0.5000  0.1667  0.8893 x4
Cl  0.0000  0.1758  0.7347 x4

The 12 most intense peaks (10 to 90 degrees two-theta), sorted by position:
2θ (°)	Rel. int.	(hkl)
15.8	11	0 1 1
27.6	100	0 3 1
27.7	11	0 0 2
32.0	13	0 2 2
34.0	11	1 2 2
35.9	20	2 0 2
39.4	24	2 2 2
44.3	10	3 3 1
45.8	10	4 0 0
48.7	30	0 6 0
54.3	13	4 3 1
78.1	9	2 8 2